Structure and computed PXRD pattern of DyCr2InO8 (a cell relaxed with PBE+U; Cu Kα, 1.54184 Å).
Neutral-atom scattering factors, no anomalous dispersion.

Atomic structure:
```
DyCr2InO8
1.0
-3.560 3.560 3.137
3.560 -3.560 3.137
3.560 3.560 -3.137
Dy Cr In O
1 2 1 8
Cartesian
0.000 0.000 0.000
0.000 0.000 3.137
0.000 3.560 1.568
3.560 0.000 1.568
2.229 3.560 -1.108
1.330 0.000 2.029
0.000 2.242 0.469
3.560 2.229 1.108
0.000 4.877 0.469
0.000 1.330 4.244
-1.318 3.560 2.668
1.318 3.560 2.668
```

Main lines, by angle (2θ from 5° to 70°):
- 18.85 deg, I 32
- 25.02 deg, I 100
- 33.67 deg, I 69
- 35.67 deg, I 20
- 40.65 deg, I 13
- 49.86 deg, I 58
- 51.33 deg, I 16
- 57.93 deg, I 13
- 62.80 deg, I 17
- 64.98 deg, I 12